Calculated powder XRD pattern
Compound: Ti3Fe9O16
Radiation: λ = 1.5418 Å (Cu Kα)
Structure: a PBE+U-relaxed structure
Neutral-atom scattering factors, no anomalous dispersion.

Principal peaks in the range 2θ = 15–90°, by angle:
index  2θ/deg  I_rel
1 1 2  29.57  31
1 3 -1  29.67  16
2 0 1  34.75  50
0 2 3  34.92  100
2 2 -4  42.45  19
2 4 -5  56.10  24
4 0 -2  61.38  45
2 6 -2  61.60  22

Atomic structure:
Cell: 6.046 10.437 10.445 Å, 99.73 106.55 90.21°
Fractional coordinates of all 56 atoms:
Ti1 0.000 0.000 0.000
Ti2 0.000 0.500 0.500
Ti3 0.255 0.259 0.001
Ti4 0.258 0.758 0.503
Ti5 0.742 0.242 0.497
Ti6 0.745 0.741 0.999
Fe1 0.000 0.500 0.000
Fe2 0.087 0.035 0.688
Fe3 0.130 0.377 0.753
Fe4 0.160 0.718 0.814
Fe5 0.252 0.246 0.499
Fe6 0.339 0.783 0.185
Fe7 0.377 0.124 0.253
Fe8 0.409 0.471 0.317
Fe9 0.500 0.000 0.000
Fe10 0.500 0.000 0.500
Fe11 0.500 0.500 0.000
Fe12 0.591 0.529 0.683
Fe13 0.623 0.876 0.747
Fe14 0.661 0.217 0.815
Fe15 0.748 0.754 0.501
Fe16 0.840 0.282 0.186
Fe17 0.870 0.623 0.247
Fe18 0.913 0.965 0.312
O1 0.038 0.690 0.116
O2 0.045 0.198 0.617
O3 0.066 0.680 0.613
O4 0.068 0.180 0.113
O5 0.177 0.568 0.388
O6 0.181 0.068 0.889
O7 0.192 0.554 0.880
O8 0.205 0.066 0.378
O9 0.287 0.437 0.615
O10 0.295 0.946 0.116
O11 0.307 0.427 0.120
O12 0.307 0.927 0.621
O13 0.423 0.306 0.881
O14 0.427 0.806 0.382
O15 0.456 0.307 0.384
O16 0.465 0.814 0.883
O17 0.535 0.186 0.117
O18 0.544 0.693 0.616
O19 0.573 0.194 0.618
O20 0.577 0.694 0.119
O21 0.693 0.073 0.379
O22 0.693 0.573 0.880
O23 0.705 0.054 0.884
O24 0.713 0.563 0.385
O25 0.795 0.934 0.622
O26 0.808 0.446 0.120
O27 0.819 0.932 0.111
O28 0.823 0.432 0.612
O29 0.932 0.820 0.887
O30 0.934 0.320 0.387
O31 0.955 0.802 0.383
O32 0.962 0.310 0.884